The following is a simulated X-ray powder pattern of NaTc3F6. It was derived from the GGA-PBE geometry in OQMD, using CuKα.

Atomic structure:
a b c (Å): 5.7887 5.7887 5.7887
angles (deg): 60.00 60.00 60.00
Sites, in units of the cell vectors:
Na: 0.0000 0.0000 0.0000
Tc: 0.2500 0.2500 0.2500
Tc: 0.5000 0.5000 0.5000
Tc: 0.7500 0.7500 0.7500
F: 0.2541 0.2541 0.7459
F: 0.2541 0.7459 0.2541
F: 0.2541 0.7459 0.7459
F: 0.7459 0.2541 0.2541
F: 0.7459 0.2541 0.7459
F: 0.7459 0.7459 0.2541

Most intense lines, 2θ from 10° to 90°, sorted by position:
2theta  I/Imax
18.77  18
30.89  100
36.40  9
38.08  17
44.26  43
48.47  4
54.95  39
64.38  25
73.11  17
77.31  5
81.45  8
89.61  20

The following is a simulated X-ray powder pattern of Y4TlFeN2. It was derived from the GGA-PBE geometry in OQMD, using CuKα.

Atomic structure:
a b c (Å): 3.5045 3.5045 14.9475
angles (deg): 90.00 90.00 120.00
Sites, in units of the cell vectors:
Y: 0.0000 0.0000 0.1374
Y: 0.0000 0.0000 0.8626
Y: 0.3333 0.6667 0.3206
Y: 0.3333 0.6667 0.6794
Tl: 0.0000 0.0000 0.5000
Fe: 0.3333 0.6667 0.0000
N: 0.6667 0.3333 0.2386
N: 0.6667 0.3333 0.7614

Most intense lines, 2θ from 10° to 90°, sorted by position:
2theta  I/Imax
29.43  28
29.89  11
31.82  22
34.61  100
36.05  13
42.44  13
47.20  12
52.20  24
57.96  14
64.16  16
65.08  14
87.20  14